AgSn2TeS3: calculated powder X-ray diffraction pattern (Cu Kα (λ = 1.5418 Å)), based on a DFT-relaxed cell (PBE, Alexandria).
No peak broadening, texture or thermal motion is included.

Crystal structure
```
14
Lattice="3.9632 2.2882 6.9039 -3.9632 2.2882 6.9039 0.0000 -4.5763 6.9039" Properties=species:S:1:pos:R:3 pbc="T T T"
Ag 0.0000 0.0000 1.5410
Ag 0.0000 0.0000 19.1708
Sn -1.9816 -1.1441 6.9039
Sn -1.9816 1.1441 13.8079
Sn 0.0000 2.2882 6.9039
Sn 0.0000 0.0000 10.3559
Te 0.0000 0.0000 5.0164
Te 0.0000 0.0000 15.6954
S 0.0000 -2.0961 8.3220
S -1.8153 1.0481 8.3220
S -1.8153 -1.0481 12.3898
S 1.8153 1.0481 8.3220
S 1.8153 -1.0481 12.3898
S 0.0000 2.0961 12.3898
```

Most intense lines, 2θ from 5° to 70°, low angle first:
2θ 12.82, I 36
2θ 22.43, I 54
2θ 25.92, I 30
2θ 26.32, I 42
2θ 31.27, I 100
2θ 32.96, I 40
2θ 34.45, I 34
2θ 43.80, I 25
2θ 45.79, I 64
2θ 46.56, I 36